Diffraction record for NdAl12Au4. The powder XRD pattern is theoretical, not measured: it uses DFT lattice parameters and positions (PBE) and CuKα.
Lines closer than 0.1° are merged.

Cell: 7.7306 7.7306 7.7306 Å, 109.47 109.47 109.47°
Fractional positions:
Nd 0.0000 0.0000 0.0000
Al 0.1537 0.5035 0.3498
Al 0.1537 0.8038 0.6502
Al 0.1962 0.3498 0.8463
Al 0.3498 0.1537 0.5035
Al 0.3498 0.8463 0.1962
Al 0.4965 0.6502 0.8463
Al 0.5035 0.3498 0.1537
Al 0.6502 0.1537 0.8038
Al 0.6502 0.8463 0.4965
Al 0.8038 0.6502 0.1537
Al 0.8463 0.1962 0.3498
Al 0.8463 0.4965 0.6502
Au 0.0000 0.0000 0.5000
Au 0.0000 0.5000 0.0000
Au 0.5000 0.0000 0.0000
Au 0.5000 0.5000 0.5000

Largest 10 diffraction maxima, low angle first, 2θ from 5° to 70°:
- 2θ = 19.89°, 4.463 Å, rel. 55
- 2θ = 28.28°, 3.156 Å, rel. 100
- 2θ = 31.70°, 2.823 Å, rel. 14
- 2θ = 34.82°, 2.577 Å, rel. 19
- 2θ = 37.71°, 2.386 Å, rel. 11
- 2θ = 40.42°, 2.232 Å, rel. 20
- 2θ = 45.44°, 1.996 Å, rel. 40
- 2θ = 50.06°, 1.822 Å, rel. 56
- 2θ = 58.49°, 1.578 Å, rel. 12
- 2θ = 66.21°, 1.411 Å, rel. 22

---

Diffraction record for Nd2Al6Au9. The powder XRD pattern is theoretical, not measured: it uses DFT lattice parameters and positions (PBE) and CuKα.
Lines closer than 0.1° are merged.

Cell: 5.8336 5.8336 12.2027 Å, 90.00 90.00 120.00°
Fractional positions:
Nd 0.0000 0.0000 0.1762
Nd 0.0000 0.0000 0.8238
Al 0.3333 0.6667 0.1655
Al 0.3333 0.6667 0.5000
Al 0.3333 0.6667 0.8345
Al 0.6667 0.3333 0.1655
Al 0.6667 0.3333 0.5000
Al 0.6667 0.3333 0.8345
Au 0.0000 0.5000 0.0000
Au 0.0000 0.5000 0.3322
Au 0.0000 0.5000 0.6678
Au 0.5000 0.0000 0.0000
Au 0.5000 0.0000 0.3322
Au 0.5000 0.0000 0.6678
Au 0.5000 0.5000 0.0000
Au 0.5000 0.5000 0.3322
Au 0.5000 0.5000 0.6678

Largest 10 diffraction maxima, low angle first, 2θ from 5° to 70°:
- 2θ = 17.55°, 5.052 Å, rel. 21
- 2θ = 21.85°, 4.068 Å, rel. 49
- 2θ = 28.17°, 3.168 Å, rel. 58
- 2θ = 35.54°, 2.526 Å, rel. 100
- 2θ = 37.96°, 2.370 Å, rel. 46
- 2θ = 42.11°, 2.146 Å, rel. 79
- 2θ = 44.55°, 2.034 Å, rel. 22
- 2θ = 52.98°, 1.728 Å, rel. 21
- 2θ = 58.24°, 1.584 Å, rel. 48
- 2θ = 63.82°, 1.458 Å, rel. 24

---

Diffraction record for Nd2Al7Au12. The powder XRD pattern is theoretical, not measured: it uses DFT lattice parameters and positions (PBE) and CuKα.
Lines closer than 0.1° are merged.

Cell: 10.3468 10.3468 4.2912 Å, 90.00 90.00 120.00°
Fractional positions:
Nd 0.0000 0.0000 0.0000
Nd 0.3333 0.6667 0.5000
Al 0.0367 0.4565 0.0000
Al 0.2661 0.2500 0.5000
Al 0.4198 0.9633 0.0000
Al 0.5435 0.5802 0.0000
Al 0.6667 0.3333 0.0000
Al 0.7500 0.0161 0.5000
Al 0.9839 0.7339 0.5000
Au 0.0241 0.2568 0.5000
Au 0.1490 0.7449 0.0000
Au 0.2328 0.9759 0.5000
Au 0.2551 0.4042 0.0000
Au 0.3777 0.1995 0.0000
Au 0.5599 0.4365 0.5000
Au 0.5635 0.1234 0.5000
Au 0.5958 0.8510 0.0000
Au 0.7432 0.7672 0.5000
Au 0.8005 0.1782 0.0000
Au 0.8218 0.6223 0.0000
Au 0.8766 0.4401 0.5000

Largest 10 diffraction maxima, low angle first, 2θ from 5° to 70°:
- 2θ = 26.31°, 3.387 Å, rel. 18
- 2θ = 27.00°, 3.303 Å, rel. 16
- 2θ = 33.71°, 2.659 Å, rel. 100
- 2θ = 36.14°, 2.485 Å, rel. 10
- 2θ = 40.26°, 2.240 Å, rel. 8
- 2θ = 40.73°, 2.215 Å, rel. 14
- 2θ = 42.01°, 2.151 Å, rel. 18
- 2θ = 42.12°, 2.146 Å, rel. 22
- 2θ = 44.05°, 2.056 Å, rel. 16
- 2θ = 62.58°, 1.484 Å, rel. 11

---

Diffraction record for Nd3Al2Au4. The powder XRD pattern is theoretical, not measured: it uses DFT lattice parameters and positions (PBE) and CuKα.
Lines closer than 0.1° are merged.

Cell: 6.0220 6.0220 8.8229 Å, 112.04 112.04 45.17°
Fractional positions:
Nd 0.0000 0.0000 0.0000
Nd 0.3615 0.3615 0.3104
Nd 0.6385 0.6385 0.6896
Al 0.3405 0.3405 0.6680
Al 0.6595 0.6595 0.3320
Au 0.0898 0.0898 0.4079
Au 0.2846 0.2846 0.9278
Au 0.7154 0.7154 0.0722
Au 0.9102 0.9102 0.5921

Largest 10 diffraction maxima, low angle first, 2θ from 5° to 70°:
- 2θ = 30.67°, 2.915 Å, rel. 28
- 2θ = 30.92°, 2.892 Å, rel. 72
- 2θ = 32.36°, 2.766 Å, rel. 34
- 2θ = 32.77°, 2.733 Å, rel. 43
- 2θ = 33.26°, 2.694 Å, rel. 100
- 2θ = 38.52°, 2.337 Å, rel. 83
- 2θ = 38.94°, 2.313 Å, rel. 54
- 2θ = 50.36°, 1.812 Å, rel. 21
- 2θ = 51.50°, 1.774 Å, rel. 19
- 2θ = 66.92°, 1.398 Å, rel. 24

---

Diffraction record for NdAl2Au4. The powder XRD pattern is theoretical, not measured: it uses DFT lattice parameters and positions (PBE) and CuKα.
Lines closer than 0.1° are merged.

Cell: 17.8043 4.5555 6.7870 Å, 90.00 90.00 90.00°
Fractional positions:
Nd 0.1363 0.2500 0.0101
Nd 0.3637 0.7500 0.5101
Nd 0.6363 0.2500 0.4899
Nd 0.8637 0.7500 0.9899
Al 0.0367 0.7500 0.2434
Al 0.2190 0.2500 0.5311
Al 0.2810 0.7500 0.0311
Al 0.4633 0.2500 0.7434
Al 0.5367 0.7500 0.2566
Al 0.7190 0.2500 0.9689
Al 0.7810 0.7500 0.4689
Al 0.9633 0.2500 0.7566
Au 0.0353 0.7500 0.8158
Au 0.0751 0.2500 0.5029
Au 0.1800 0.7500 0.3138
Au 0.1969 0.7500 0.7314
Au 0.3031 0.2500 0.2314
Au 0.3200 0.2500 0.8138
Au 0.4249 0.7500 0.0029
Au 0.4647 0.2500 0.3158
Au 0.5353 0.7500 0.6842
Au 0.5751 0.2500 0.9971
Au 0.6800 0.7500 0.1862
Au 0.6969 0.7500 0.7686
Au 0.8031 0.2500 0.2686
Au 0.8200 0.2500 0.6862
Au 0.9249 0.7500 0.4971
Au 0.9647 0.2500 0.1842

Largest 10 diffraction maxima, low angle first, 2θ from 5° to 70°:
- 2θ = 28.01°, 3.186 Å, rel. 41
- 2θ = 34.46°, 2.603 Å, rel. 100
- 2θ = 34.60°, 2.593 Å, rel. 44
- 2θ = 36.12°, 2.486 Å, rel. 35
- 2θ = 39.57°, 2.278 Å, rel. 46
- 2θ = 42.78°, 2.114 Å, rel. 21
- 2θ = 45.21°, 2.006 Å, rel. 16
- 2θ = 59.67°, 1.549 Å, rel. 16
- 2θ = 66.00°, 1.415 Å, rel. 20
- 2θ = 68.54°, 1.369 Å, rel. 20

---

Diffraction record for NdAl5Au7. The powder XRD pattern is theoretical, not measured: it uses DFT lattice parameters and positions (PBE) and CuKα.
Lines closer than 0.1° are merged.

Cell: 7.0850 7.0850 7.0850 Å, 133.86 97.38 100.29°
Fractional positions:
Nd 0.0000 0.0000 0.0000
Al 0.0007 0.4992 0.0128
Al 0.0007 0.9879 0.5016
Al 0.4863 0.4992 0.4984
Al 0.4863 0.9879 0.9872
Al 0.7584 0.2584 0.5000
Au 0.1732 0.4785 0.6947
Au 0.2267 0.7267 0.5000
Au 0.3346 0.3346 0.0000
Au 0.3499 0.0123 0.3376
Au 0.6747 0.0123 0.6624
Au 0.6757 0.6757 0.0000
Au 0.7838 0.4785 0.3053

Largest 10 diffraction maxima, low angle first, 2θ from 5° to 70°:
- 2θ = 27.38°, 3.258 Å, rel. 61
- 2θ = 32.24°, 2.776 Å, rel. 100
- 2θ = 32.95°, 2.719 Å, rel. 100
- 2θ = 33.73°, 2.658 Å, rel. 52
- 2θ = 38.60°, 2.332 Å, rel. 90
- 2θ = 38.98°, 2.311 Å, rel. 61
- 2θ = 39.70°, 2.270 Å, rel. 28
- 2θ = 42.80°, 2.113 Å, rel. 67
- 2θ = 57.95°, 1.592 Å, rel. 30
- 2θ = 69.10°, 1.359 Å, rel. 24

---

Diffraction record for Nd3Al2Au3. The powder XRD pattern is theoretical, not measured: it uses DFT lattice parameters and positions (PBE) and CuKα.
Lines closer than 0.1° are merged.

Cell: 8.4622 15.3566 5.8934 Å, 90.00 90.00 90.00°
Fractional positions:
Nd 0.0536 0.1069 0.1286
Nd 0.0536 0.3931 0.1286
Nd 0.1995 0.2500 0.6057
Nd 0.3005 0.7500 0.1057
Nd 0.4464 0.6069 0.6286
Nd 0.4464 0.8931 0.6286
Nd 0.5536 0.1069 0.3714
Nd 0.5536 0.3931 0.3714
Nd 0.6995 0.2500 0.8943
Nd 0.8005 0.7500 0.3943
Nd 0.9464 0.6069 0.8714
Nd 0.9464 0.8931 0.8714
Al 0.0942 0.5987 0.3823
Al 0.0942 0.9013 0.3823
Al 0.4058 0.0987 0.8823
Al 0.4058 0.4013 0.8823
Al 0.5942 0.5987 0.1177
Al 0.5942 0.9013 0.1177
Al 0.9058 0.0987 0.6177
Al 0.9058 0.4013 0.6177
Au 0.1576 0.7500 0.5996
Au 0.1956 0.0428 0.6138
Au 0.1956 0.4572 0.6138
Au 0.3044 0.5428 0.1138
Au 0.3044 0.9572 0.1138
Au 0.3424 0.2500 0.0996
Au 0.6576 0.7500 0.9004
Au 0.6956 0.0428 0.8862
Au 0.6956 0.4572 0.8862
Au 0.8044 0.5428 0.3862
Au 0.8044 0.9572 0.3862
Au 0.8424 0.2500 0.4004

Largest 10 diffraction maxima, low angle first, 2θ from 5° to 70°:
- 2θ = 27.35°, 3.261 Å, rel. 44
- 2θ = 29.71°, 3.007 Å, rel. 46
- 2θ = 31.35°, 2.853 Å, rel. 26
- 2θ = 31.47°, 2.843 Å, rel. 63
- 2θ = 32.17°, 2.783 Å, rel. 100
- 2θ = 35.05°, 2.560 Å, rel. 70
- 2θ = 35.28°, 2.544 Å, rel. 57
- 2θ = 36.76°, 2.445 Å, rel. 52
- 2θ = 40.02°, 2.253 Å, rel. 35
- 2θ = 45.56°, 1.991 Å, rel. 31

---

Diffraction record for Nd2Al3Au5. The powder XRD pattern is theoretical, not measured: it uses DFT lattice parameters and positions (PBE) and CuKα.
Lines closer than 0.1° are merged.

Cell: 4.2614 4.2614 11.6286 Å, 90.00 90.00 90.00°
Fractional positions:
Nd 0.0000 0.5000 0.2475
Nd 0.5000 0.0000 0.7525
Al 0.0000 0.0000 0.0000
Al 0.0000 0.5000 0.8701
Al 0.5000 0.0000 0.1299
Au 0.0000 0.0000 0.5000
Au 0.0000 0.5000 0.6600
Au 0.5000 0.0000 0.3400
Au 0.5000 0.5000 0.0000
Au 0.5000 0.5000 0.5000

Largest 10 diffraction maxima, low angle first, 2θ from 5° to 70°:
- 2θ = 7.60°, 11.629 Å, rel. 65
- 2θ = 25.92°, 3.437 Å, rel. 20
- 2θ = 31.19°, 2.867 Å, rel. 17
- 2θ = 33.50°, 2.675 Å, rel. 100
- 2θ = 37.82°, 2.379 Å, rel. 16
- 2θ = 42.42°, 2.131 Å, rel. 42
- 2θ = 43.23°, 2.093 Å, rel. 23
- 2θ = 44.37°, 2.041 Å, rel. 21
- 2θ = 61.55°, 1.507 Å, rel. 14
- 2θ = 63.07°, 1.474 Å, rel. 15

---

Diffraction record for NdAl2Zn4Au. The powder XRD pattern is theoretical, not measured: it uses DFT lattice parameters and positions (PBE) and CuKα.
Lines closer than 0.1° are merged.

Cell: 9.2947 9.2947 9.2947 Å, 27.21 27.21 27.21°
Fractional positions:
Nd 0.0000 0.0000 0.0000
Al 0.2521 0.2521 0.2521
Al 0.7479 0.7479 0.7479
Zn 0.1255 0.1255 0.1255
Zn 0.3996 0.3996 0.3996
Zn 0.6004 0.6004 0.6004
Zn 0.8745 0.8745 0.8745
Au 0.5000 0.5000 0.5000

Largest 10 diffraction maxima, low angle first, 2θ from 5° to 70°:
- 2θ = 9.89°, 8.945 Å, rel. 16
- 2θ = 19.85°, 4.473 Å, rel. 10
- 2θ = 24.43°, 3.644 Å, rel. 66
- 2θ = 35.76°, 2.511 Å, rel. 79
- 2θ = 41.28°, 2.187 Å, rel. 100
- 2θ = 48.57°, 1.875 Å, rel. 11
- 2θ = 55.75°, 1.649 Å, rel. 22
- 2θ = 59.10°, 1.563 Å, rel. 9
- 2θ = 59.78°, 1.547 Å, rel. 9
- 2θ = 60.36°, 1.534 Å, rel. 9

---

Diffraction record for Nd2AlZnAu6. The powder XRD pattern is theoretical, not measured: it uses DFT lattice parameters and positions (PBE) and CuKα.
Lines closer than 0.1° are merged.

Cell: 6.8351 6.8351 8.9187 Å, 129.39 129.39 47.76°
Fractional positions:
Nd 0.2435 0.2435 0.2198
Nd 0.7565 0.7565 0.7802
Al 0.0000 0.0000 0.5000
Zn 0.5000 0.5000 0.0000
Au 0.2247 0.7244 0.2292
Au 0.2512 0.2512 0.6034
Au 0.2756 0.7753 0.7708
Au 0.7244 0.2247 0.2292
Au 0.7488 0.7488 0.3966
Au 0.7753 0.2756 0.7708

Largest 10 diffraction maxima, low angle first, 2θ from 5° to 70°:
- 2θ = 19.92°, 4.458 Å, rel. 38
- 2θ = 27.34°, 3.262 Å, rel. 25
- 2θ = 27.76°, 3.213 Å, rel. 75
- 2θ = 28.56°, 3.125 Å, rel. 38
- 2θ = 34.25°, 2.618 Å, rel. 21
- 2θ = 38.18°, 2.357 Å, rel. 100
- 2θ = 38.29°, 2.351 Å, rel. 61
- 2θ = 39.40°, 2.287 Å, rel. 26
- 2θ = 40.08°, 2.250 Å, rel. 56
- 2θ = 40.26°, 2.240 Å, rel. 26

---

Diffraction record for Np2AlSiAu6. The powder XRD pattern is theoretical, not measured: it uses DFT lattice parameters and positions (PBE) and CuKα.
Lines closer than 0.1° are merged.

Cell: 5.4648 6.7210 6.7647 Å, 72.51 66.25 66.22°
Fractional positions:
Np 0.0073 0.2695 0.2156
Np 0.9927 0.7305 0.7844
Al 0.5000 0.0000 0.5000
Si 0.5000 0.5000 0.0000
Au 0.0098 0.3043 0.6715
Au 0.3404 0.9081 0.9133
Au 0.4874 0.6935 0.3278
Au 0.5126 0.3065 0.6722
Au 0.6596 0.0919 0.0867
Au 0.9902 0.6957 0.3285

Largest 10 diffraction maxima, low angle first, 2θ from 5° to 70°:
- 2θ = 18.82°, 4.714 Å, rel. 34
- 2θ = 29.26°, 3.053 Å, rel. 28
- 2θ = 29.44°, 3.034 Å, rel. 36
- 2θ = 32.85°, 2.726 Å, rel. 22
- 2θ = 35.01°, 2.563 Å, rel. 54
- 2θ = 36.02°, 2.493 Å, rel. 52
- 2θ = 38.02°, 2.367 Å, rel. 30
- 2θ = 38.17°, 2.358 Å, rel. 53
- 2θ = 40.00°, 2.254 Å, rel. 100
- 2θ = 56.36°, 1.632 Å, rel. 22

---

Diffraction record for Sc4AlAuO. The powder XRD pattern is theoretical, not measured: it uses DFT lattice parameters and positions (PBE) and CuKα.
Lines closer than 0.1° are merged.

Cell: 7.7305 7.7305 6.1410 Å, 90.00 90.00 133.10°
Fractional positions:
Sc 0.0000 0.5000 0.0000
Sc 0.0000 0.5000 0.5000
Sc 0.0723 0.9277 0.7500
Sc 0.4157 0.5843 0.7500
Sc 0.5000 0.0000 0.0000
Sc 0.5000 0.0000 0.5000
Sc 0.5843 0.4157 0.2500
Sc 0.9277 0.0723 0.2500
Al 0.3836 0.6164 0.2500
Al 0.6164 0.3836 0.7500
Au 0.1177 0.8823 0.2500
Au 0.8823 0.1177 0.7500
O 0.2518 0.7482 0.7500
O 0.7482 0.2518 0.2500

Largest 10 diffraction maxima, low angle first, 2θ from 5° to 70°:
- 2θ = 15.70°, 5.645 Å, rel. 66
- 2θ = 19.12°, 4.642 Å, rel. 80
- 2θ = 21.38°, 4.156 Å, rel. 33
- 2θ = 27.88°, 3.200 Å, rel. 25
- 2θ = 29.05°, 3.073 Å, rel. 60
- 2θ = 31.73°, 2.820 Å, rel. 33
- 2θ = 34.99°, 2.564 Å, rel. 38
- 2θ = 37.87°, 2.376 Å, rel. 44
- 2θ = 38.77°, 2.322 Å, rel. 100
- 2θ = 41.55°, 2.173 Å, rel. 67